NdScSb: computed powder diffractogram (CuKα), based on DFT lattice parameters and positions (PBE).

Principal peaks in the range 2θ from 10° to 90°, in order of rising 2θ:
- 21.56°, rel. 28
- 28.23°, rel. 100
- 30.28°, rel. 61
- 33.78°, rel. 88
- 35.80°, rel. 97
- 40.35°, rel. 76
- 53.61°, rel. 47
- 54.11°, rel. 29
- 69.62°, rel. 27
- 70.41°, rel. 25

Structural model:
Cell: 4.4706 4.4706 16.4842 Å, 90.00 90.00 90.00°
Space group I4/mmm (No. 139)
Asymmetric unit:
Nd  0.0000  0.0000  0.1752 (multiplicity 4)
Sc  0.0000  0.5000  0.0000 (multiplicity 4)
Sb  0.0000  0.0000  0.3737 (multiplicity 4)